Starting from a cell relaxed with PBE, the X-ray powder pattern of Mg5Ta3N8 was simulated for λ = 1.5418 Å (Cu Kα).

Atomic structure:
```
data_Mg5Ta3N8
_chemical_formula_sum 'Mg5 Ta3 N8'
_cell_length_a 6.2250
_cell_length_b 6.2250
_cell_length_c 6.2250
_cell_angle_alpha 59.66
_cell_angle_beta 59.66
_cell_angle_gamma 59.66
_symmetry_space_group_name_H-M 'P 1'
_symmetry_Int_Tables_number 1
loop_
_symmetry_equiv_pos_as_xyz
'x,y,z'
loop_
_atom_site_label
_atom_site_fract_x
_atom_site_fract_y
_atom_site_fract_z
_atom_site_occupancy
Mg1 0.0000 0.0000 0.0000 1
Mg2 0.0000 0.5000 0.5000 1
Mg3 0.5000 0.0000 0.5000 1
Mg4 0.5000 0.5000 0.0000 1
Mg5 0.5000 0.5000 0.5000 1
Ta1 0.0000 0.0000 0.5000 1
Ta2 0.0000 0.5000 0.0000 1
Ta3 0.5000 0.0000 0.0000 1
N1 0.2344 0.7502 0.7502 1
N2 0.2464 0.2464 0.2464 1
N3 0.2498 0.2498 0.7656 1
N4 0.2498 0.7656 0.2498 1
N5 0.7502 0.2344 0.7502 1
N6 0.7502 0.7502 0.2344 1
N7 0.7536 0.7536 0.7536 1
N8 0.7656 0.2498 0.2498 1
```

Most intense lines, 10 to 90 degrees two-theta, by intensity:
d/Å	two_theta	I/Imax
5.096	17.4	100
2.195	41.1	94
2.530	35.5	75
2.642	33.9	69
5.061	17.5	33
1.556	59.4	30
1.548	59.7	30
2.548	35.2	25

***

Starting from a cell relaxed with PBE, the X-ray powder pattern of TbMg2WN4 was simulated for λ = 1.5418 Å (Cu Kα).

Atomic structure:
```
data_TbMg2WN4
_chemical_formula_sum 'Tb2 Mg4 W2 N8'
_cell_length_a 7.3891
_cell_length_b 6.1428
_cell_length_c 4.9179
_cell_angle_alpha 90.00
_cell_angle_beta 90.00
_cell_angle_gamma 90.00
_symmetry_space_group_name_H-M 'P 1'
_symmetry_Int_Tables_number 1
loop_
_symmetry_equiv_pos_as_xyz
'x,y,z'
loop_
_atom_site_label
_atom_site_fract_x
_atom_site_fract_y
_atom_site_fract_z
_atom_site_occupancy
Tb1 0.0000 0.1533 0.0000 1
Tb2 0.5000 0.8467 0.5000 1
Mg1 0.2463 0.3375 0.5189 1
Mg2 0.2537 0.6625 0.0189 1
Mg3 0.7463 0.6625 0.0189 1
Mg4 0.7537 0.3375 0.5189 1
W1 0.0000 0.8180 0.5299 1
W2 0.5000 0.1820 0.0299 1
N1 0.0000 0.1479 0.4992 1
N2 0.0000 0.7888 0.9248 1
N3 0.2224 0.6742 0.4590 1
N4 0.2776 0.3258 0.9590 1
N5 0.5000 0.2112 0.4248 1
N6 0.5000 0.8521 0.9992 1
N7 0.7224 0.3258 0.9590 1
N8 0.7776 0.6742 0.4590 1
```

Most intense lines, 10 to 90 degrees two-theta, by intensity:
d/Å	two_theta	I/Imax
2.662	33.7	100
3.839	23.2	92
3.695	24.1	56
2.605	34.4	46
2.459	36.5	46
3.166	28.2	43
6.143	14.4	40
1.447	64.4	36